This entry pairs a crystal structure of Zn11Ni2 with its theoretical powder XRD pattern. Radiation: Cu Kα (weighted mean of Kα1 and Kα2). Structure: a cell relaxed with GGA-PBE.

Crystal structure
Unit cell a=8.960 b=8.960 c=8.960 alpha=90.00 beta=90.00 gamma=90.00
Space group I-43m (No. 217)
One atom of each set of equivalent atoms:
Zn (0.000, 0.000, 0.355) [12 per cell]
Zn (0.042, 0.308, 0.308) [24 per cell]
Zn (0.105, 0.105, 0.105) [8 per cell]
Ni (0.172, 0.172, 0.828) [8 per cell]

Largest 10 diffraction maxima, in order of rising 2θ, 2θ from 5° to 70°:
13.98°, rel. 1
34.68°, rel. 7
37.56°, rel. 5
42.82°, rel. 100
47.60°, rel. 8
49.86°, rel. 4
52.04°, rel. 3
56.23°, rel. 1
62.16°, rel. 7
64.06°, rel. 2

=====

This entry pairs a crystal structure of Zn5Ni with its theoretical powder XRD pattern. Radiation: Cu Kα (weighted mean of Kα1 and Kα2). Structure: a cell relaxed with GGA-PBE.

Crystal structure
Unit cell a=6.042 b=6.042 c=9.895 alpha=90.00 beta=90.00 gamma=90.00
Space group I4/mcm (No. 140)
One atom of each set of equivalent atoms:
Zn (0.000, 0.000, 0.000) [4 per cell]
Zn (0.161, 0.339, 0.139) [16 per cell]
Ni (0.000, 0.000, 0.250) [4 per cell]

Largest 10 diffraction maxima, in order of rising 2θ, 2θ from 5° to 70°:
17.93°, rel. 4
20.79°, rel. 10
34.41°, rel. 69
36.32°, rel. 7
42.24°, rel. 62
43.29°, rel. 64
47.56°, rel. 100
57.74°, rel. 4
64.27°, rel. 9
69.59°, rel. 9

=====

This entry pairs a crystal structure of ZnNi2 with its theoretical powder XRD pattern. Radiation: Cu Kα (weighted mean of Kα1 and Kα2). Structure: a cell relaxed with GGA-PBE.

Crystal structure
Unit cell a=12.970 b=2.596 c=4.343 alpha=90.00 beta=107.25 gamma=90.00
Space group C2/m (No. 12)
One atom of each set of equivalent atoms:
Zn (0.086, 0.000, 0.264) [4 per cell]
Ni (0.085, 0.500, 0.760) [4 per cell]
Ni (0.249, 0.000, 0.756) [4 per cell]

Largest 5 diffraction maxima, in order of rising 2θ, 2θ from 5° to 70°:
43.45°, rel. 100
43.65°, rel. 49
43.85°, rel. 49
49.94°, rel. 65
52.46°, rel. 28

=====

This entry pairs a crystal structure of ZnNi with its theoretical powder XRD pattern. Radiation: Cu Kα (weighted mean of Kα1 and Kα2). Structure: a cell relaxed with GGA-PBE.

Crystal structure
Unit cell a=8.862 b=8.862 c=2.630 alpha=90.00 beta=90.00 gamma=90.00
Space group I4/m (No. 87)
One atom of each set of equivalent atoms:
Zn (0.136, 0.829, 0.000) [8 per cell]
Ni (0.035, 0.336, 0.500) [8 per cell]

Largest 10 diffraction maxima, in order of rising 2θ, 2θ from 5° to 70°:
14.13°, rel. 8
35.61°, rel. 9
40.72°, rel. 10
41.19°, rel. 17
43.31°, rel. 49
45.79°, rel. 23
46.21°, rel. 100
55.19°, rel. 7
62.92°, rel. 10
63.27°, rel. 8

=====

This entry pairs a crystal structure of ZnNi5 with its theoretical powder XRD pattern. Radiation: Cu Kα (weighted mean of Kα1 and Kα2). Structure: a cell relaxed with GGA-PBE.

Crystal structure
Unit cell a=2.534 b=2.534 c=10.511 alpha=90.00 beta=90.00 gamma=90.00
Space group P4/mmm (No. 123)
One atom of each set of equivalent atoms:
Zn (0.000, 0.000, 0.000) [1 per cell]
Ni (0.000, 0.000, 0.337) [2 per cell]
Ni (0.500, 0.500, 0.174) [2 per cell]
Ni (0.500, 0.500, 0.500) [1 per cell]

Largest 3 diffraction maxima, in order of rising 2θ, 2θ from 5° to 70°:
44.11°, rel. 100
50.97°, rel. 32
52.22°, rel. 14

=====

This entry pairs a crystal structure of ZnNi with its theoretical powder XRD pattern. Radiation: Cu Kα (weighted mean of Kα1 and Kα2). Structure: a cell relaxed with GGA-PBE.

Crystal structure
Unit cell a=4.283 b=6.708 c=7.044 alpha=90.00 beta=90.00 gamma=90.00
Space group P2_12_12_1 (No. 19)
One atom of each set of equivalent atoms:
Zn (0.149, 0.236, 0.226) [4 per cell]
Zn (0.152, 0.444, 0.903) [4 per cell]
Ni (0.147, 0.069, 0.901) [4 per cell]
Ni (0.161, 0.251, 0.586) [4 per cell]

Largest 10 diffraction maxima, in order of rising 2θ, 2θ from 5° to 70°:
36.33°, rel. 26
37.01°, rel. 19
42.41°, rel. 58
42.80°, rel. 100
43.98°, rel. 54
44.41°, rel. 72
46.12°, rel. 90
47.66°, rel. 28
52.33°, rel. 37
53.01°, rel. 33

=====

This entry pairs a crystal structure of ZnNi5 with its theoretical powder XRD pattern. Radiation: Cu Kα (weighted mean of Kα1 and Kα2). Structure: a cell relaxed with GGA-PBE.

Crystal structure
Unit cell a=3.562 b=7.531 c=5.025 alpha=90.00 beta=90.00 gamma=90.00
Space group Pmmn (No. 59, origin choice 2)
One atom of each set of equivalent atoms:
Zn (0.250, 0.250, 0.124) [2 per cell]
Ni (0.250, 0.250, 0.623) [2 per cell]
Ni (0.250, 0.581, 0.622) [4 per cell]
Ni (0.250, 0.583, 0.131) [4 per cell]

Largest 3 diffraction maxima, in order of rising 2θ, 2θ from 5° to 70°:
44.12°, rel. 100
51.30°, rel. 16
51.46°, rel. 31

=====

This entry pairs a crystal structure of Zn3Ni13 with its theoretical powder XRD pattern. Radiation: Cu Kα (weighted mean of Kα1 and Kα2). Structure: a cell relaxed with GGA-PBE.

Crystal structure
Unit cell a=7.121 b=7.086 c=7.165 alpha=90.00 beta=90.00 gamma=90.00
Space group Amm2 (No. 38)
One atom of each set of equivalent atoms:
Zn (0.000, 0.000, 0.000) [2 per cell]
Zn (0.254, 0.000, 0.261) [4 per cell]
Ni (0.000, 0.000, 0.513) [2 per cell]
Ni (0.000, 0.249, 0.755) [4 per cell]
Ni (0.252, 0.000, 0.756) [4 per cell]
Ni (0.253, 0.249, 0.508) [8 per cell]
Ni (0.500, 0.000, 0.003) [2 per cell]
Ni (0.500, 0.000, 0.512) [2 per cell]
Ni (0.500, 0.245, 0.758) [4 per cell]

Largest 4 diffraction maxima, in order of rising 2θ, 2θ from 5° to 70°:
44.03°, rel. 100
50.99°, rel. 16
51.32°, rel. 16
51.59°, rel. 15

=====

This entry pairs a crystal structure of ZnNi2 with its theoretical powder XRD pattern. Radiation: Cu Kα (weighted mean of Kα1 and Kα2). Structure: a cell relaxed with GGA-PBE.

Crystal structure
Unit cell a=4.293 b=2.620 c=6.435 alpha=90.00 beta=104.94 gamma=90.00
Space group Pm (No. 6)
One atom of each set of equivalent atoms:
Zn (0.000, 0.000, 0.000) [1 per cell]
Zn (0.257, 0.000, 0.655) [1 per cell]
Ni (0.277, 0.500, 0.326) [1 per cell]
Ni (0.502, 0.500, 0.995) [1 per cell]
Ni (0.757, 0.500, 0.661) [1 per cell]
Ni (0.765, 0.000, 0.328) [1 per cell]

Largest 10 diffraction maxima, in order of rising 2θ, 2θ from 5° to 70°:
40.73°, rel. 23
41.34°, rel. 10
42.24°, rel. 30
43.67°, rel. 77
45.31°, rel. 100
45.92°, rel. 30
46.97°, rel. 91
49.81°, rel. 24
59.63°, rel. 10
65.05°, rel. 8

=====

This entry pairs a crystal structure of Zn2Ni7 with its theoretical powder XRD pattern. Radiation: Cu Kα (weighted mean of Kα1 and Kα2). Structure: a cell relaxed with GGA-PBE.

Crystal structure
Unit cell a=6.9005 b=6.9005 c=2.4997 alpha=90.00 beta=90.00 gamma=120.00
Space group P-62m (No. 189)
One atom of each set of equivalent atoms:
Zn (0.3333, 0.6667, 0.0000) [2 per cell]
Ni (0.0000, 0.0000, 0.5000) [1 per cell]
Ni (0.0000, 0.3569, 0.5000) [3 per cell]
Ni (0.0000, 0.6995, 0.0000) [3 per cell]

Largest 10 diffraction maxima, in order of rising 2θ, 2θ from 5° to 70°:
35.93°, rel. 1
39.06°, rel. 9
39.91°, rel. 10
44.77°, rel. 76
45.54°, rel. 100
47.42°, rel. 25
54.78°, rel. 18
55.44°, rel. 3
65.77°, rel. 18
68.43°, rel. 2

=====

This entry pairs a crystal structure of ZrZn7Ni5 with its theoretical powder XRD pattern. Radiation: Cu Kα (weighted mean of Kα1 and Kα2). Structure: a cell relaxed with GGA-PBE.

Crystal structure
Unit cell a=4.988 b=8.445 c=8.426 alpha=90.00 beta=90.00 gamma=90.00
Space group Imm2 (No. 44)
One atom of each set of equivalent atoms:
Zr (0.000, 0.000, 0.000) [2 per cell]
Zn (0.000, 0.000, 0.357) [2 per cell]
Zn (0.000, 0.000, 0.676) [2 per cell]
Zn (0.000, 0.294, 0.548) [4 per cell]
Zn (0.000, 0.341, 0.058) [4 per cell]
Zn (0.000, 0.500, 0.773) [2 per cell]
Ni (0.000, 0.500, 0.328) [2 per cell]
Ni (0.246, 0.245, 0.802) [8 per cell]

Largest 10 diffraction maxima, in order of rising 2θ, 2θ from 5° to 70°:
36.01°, rel. 23
36.68°, rel. 53
42.09°, rel. 74
42.68°, rel. 100
42.83°, rel. 32
42.93°, rel. 34
47.53°, rel. 78
48.08°, rel. 24
48.24°, rel. 37
69.34°, rel. 21

=====

This entry pairs a crystal structure of ZrZn6Ni6 with its theoretical powder XRD pattern. Radiation: Cu Kα (weighted mean of Kα1 and Kα2). Structure: a cell relaxed with GGA-PBE.

Crystal structure
Unit cell a=4.904 b=8.261 c=8.522 alpha=90.00 beta=90.00 gamma=90.00
Space group Immm (No. 71)
One atom of each set of equivalent atoms:
Zr (0.000, 0.000, 0.000) [2 per cell]
Zn (0.000, 0.000, 0.348) [4 per cell]
Zn (0.000, 0.340, 0.000) [4 per cell]
Zn (0.000, 0.500, 0.303) [4 per cell]
Ni (0.000, 0.274, 0.500) [4 per cell]
Ni (0.250, 0.250, 0.250) [8 per cell]

Largest 10 diffraction maxima, in order of rising 2θ, 2θ from 5° to 70°:
36.59°, rel. 60
37.46°, rel. 23
42.43°, rel. 28
42.54°, rel. 41
42.84°, rel. 100
43.25°, rel. 45
43.84°, rel. 37
48.13°, rel. 91
49.03°, rel. 25
62.69°, rel. 9

=====

This entry pairs a crystal structure of Zr2ZnNi with its theoretical powder XRD pattern. Radiation: Cu Kα (weighted mean of Kα1 and Kα2). Structure: a cell relaxed with GGA-PBE.

Crystal structure
Unit cell a=3.210 b=4.510 c=9.815 alpha=90.00 beta=90.00 gamma=90.00
Space group Imm2 (No. 44)
One atom of each set of equivalent atoms:
Zr (0.000, 0.000, 0.000) [2 per cell]
Zr (0.000, 0.500, 0.226) [2 per cell]
Zn (0.000, 0.000, 0.436) [2 per cell]
Ni (0.000, 0.500, 0.738) [2 per cell]

Largest 10 diffraction maxima, in order of rising 2θ, 2θ from 5° to 70°:
29.28°, rel. 5
33.85°, rel. 13
36.62°, rel. 23
39.03°, rel. 100
39.98°, rel. 25
54.82°, rel. 6
55.33°, rel. 13
57.41°, rel. 10
67.54°, rel. 9
69.98°, rel. 6